Structure and simulated X-ray powder pattern of W3SBr7 (a DFT-relaxed cell (PBE, Alexandria); Cu Kα (weighted mean of Kα1 and Kα2)).
Lines closer than 0.1° are merged.

Structural model:
Cell: 6.9575 6.9575 9.3004 Å, 122.74 122.74 60.63°
Element x y z (fractional)
W 0.0000 0.0000 0.0000
W 0.3916 0.9873 0.9952
W 0.9873 0.3916 0.9952
S 0.0101 0.0101 0.7549
Br 0.0377 0.5328 0.8031
Br 0.4027 0.4027 0.2382
Br 0.4109 0.9160 0.2468
Br 0.5282 0.5282 0.7972
Br 0.5328 0.0377 0.8031
Br 0.8807 0.8807 0.1798
Br 0.9160 0.4109 0.2468

Main lines, sorted by position (5° ≤ 2θ ≤ 70°):
- d = 7.249 Å, 2θ 12.2, I = 100
- d = 5.618 Å, 2θ 15.8, I = 9
- d = 5.569 Å, 2θ 15.9, I = 13
- d = 2.809 Å, 2θ 31.9, I = 35
- d = 2.750 Å, 2θ 32.6, I = 19
- d = 2.340 Å, 2θ 38.5, I = 27
- d = 2.284 Å, 2θ 39.5, I = 13
- d = 1.878 Å, 2θ 48.5, I = 14